The following is a theoretical powder X-ray diffraction pattern of HfTiMo4. It was derived from a crystal structure in the Materials Project, relaxed with GGA-PBE, using Cu Kα X-rays.
Intensities are scaled so that the largest is 100.

Largest 10 diffraction maxima, low angle first, 2θ from 10° to 80°:
- 2θ 20.47, I = 13
- 2θ 23.68, I = 12
- 2θ 33.74, I = 30
- 2θ 39.79, I = 100
- 2θ 41.64, I = 37
- 2θ 53.13, I = 3
- 2θ 54.62, I = 5
- 2θ 60.35, I = 11
- 2θ 64.43, I = 31
- 2θ 70.96, I = 25

Cell and atoms:
Cell lengths 7.514, 7.514, 7.514 Å; angles 90.00, 90.00, 90.00 degrees
Space group F-43m (No. 216)
Unique sites:
Hf (0.000, 0.000, 0.000) [4 per cell]
Ti (0.250, 0.250, 0.250) [4 per cell]
Mo (0.125, 0.125, 0.625) [16 per cell]

The following is a theoretical powder X-ray diffraction pattern of Ba7Ir6O19. It was derived from a crystal structure in the Materials Project, relaxed with GGA-PBE, using Cu Kα X-rays.
Intensities are scaled so that the largest is 100.

Largest 10 diffraction maxima, low angle first, 2θ from 10° to 80°:
- 2θ 16.03, I = 29
- 2θ 18.62, I = 32
- 2θ 26.50, I = 20
- 2θ 26.98, I = 36
- 2θ 30.08, I = 100
- 2θ 30.68, I = 51
- 2θ 40.98, I = 20
- 2θ 54.17, I = 20
- 2θ 62.52, I = 16
- 2θ 63.89, I = 15

Cell and atoms:
Cell lengths 15.033, 5.828, 11.196 Å; angles 90.00, 99.00, 90.00 degrees
Space group C2/m (No. 12)
Unique sites:
Ba (0.000, 0.000, 0.000) [2 per cell]
Ba (0.074, 0.000, 0.662) [4 per cell]
Ba (0.144, 0.500, 0.445) [4 per cell]
Ba (0.195, 0.500, 0.090) [4 per cell]
Ir (0.023, 0.500, 0.823) [4 per cell]
Ir (0.155, 0.000, 0.282) [4 per cell]
Ir (0.183, 0.500, 0.766) [4 per cell]
O (0.000, 0.500, 0.000) [2 per cell]
O (0.058, 0.500, 0.650) [4 per cell]
O (0.071, 0.251, 0.206) [8 per cell]
O (0.102, 0.000, 0.436) [4 per cell]
O (0.125, 0.267, 0.867) [8 per cell]
O (0.202, 0.000, 0.113) [4 per cell]
O (0.244, 0.271, 0.663) [8 per cell]

The following is a theoretical powder X-ray diffraction pattern of NaNbO3. It was derived from a crystal structure in the Materials Project, relaxed with GGA-PBE, using Cu Kα X-rays.
Intensities are scaled so that the largest is 100.

Largest 10 diffraction maxima, low angle first, 2θ from 10° to 80°:
- 2θ 22.17, I = 93
- 2θ 31.56, I = 100
- 2θ 38.91, I = 2
- 2θ 45.23, I = 47
- 2θ 50.93, I = 35
- 2θ 56.20, I = 39
- 2θ 65.89, I = 26
- 2θ 70.46, I = 16
- 2θ 74.90, I = 16
- 2θ 79.24, I = 2

Cell and atoms:
Cell lengths 4.009, 4.009, 4.009 Å; angles 90.00, 90.00, 90.00 degrees
Space group Pm-3m (No. 221)
Unique sites:
Na (0.000, 0.000, 0.000) [1 per cell]
Nb (0.500, 0.500, 0.500) [1 per cell]
O (0.000, 0.500, 0.500) [3 per cell]